[1]
Starting from DFT lattice parameters and positions (PBE), the XRD peak list of Ac5Zn2 was computed for CuKα.
Intensities are scaled so that the largest is 100.

Structural model:
Unit cell a=18.567 b=7.451 c=7.681 alpha=90.00 beta=96.50 gamma=90.00
Space group C2/c (No. 15)
Inequivalent atoms, fractional coordinates:
Ac (0.000, 0.064, 0.250)
Ac (0.092, 0.393, 0.940)
Ac (0.222, 0.081, 0.292)
Zn (0.112, 0.198, 0.573)

Peak list (10 most intense, 5 to 70 degrees two-theta, by angle)
| Position (°2θ) | d (Å) | Rel. int. | index |
| --- | --- | --- | --- |
| 26.22 | 3.399 | 64 | 2 0 2 |
| 26.62 | 3.348 | 68 | 0 2 1 |
| 26.97 | 3.306 | 100 | 5 1 0 |
| 28.65 | 3.115 | 75 | 4 0 -2 |
| 28.82 | 3.098 | 49 | 2 2 1 |
| 32.09 | 2.789 | 30 | 4 0 2 |
| 32.25 | 2.776 | 40 | 4 2 -1 |
| 37.14 | 2.421 | 27 | 1 1 -3 |
| 49.03 | 1.858 | 35 | 1 1 -4 |
| 49.34 | 1.847 | 33 | 4 2 3 |

[2]
Starting from DFT lattice parameters and positions (PBE), the XRD peak list of Sr2LiGaSn was computed for CuKα.
Intensities are scaled so that the largest is 100.

Structural model:
Unit cell a=6.027 b=6.027 c=4.802 alpha=90.00 beta=90.00 gamma=90.00
Space group P4/mmm (No. 123)
Inequivalent atoms, fractional coordinates:
Sr (0.000, 0.500, 0.000)
Li (0.000, 0.000, 0.500)
Ga (0.000, 0.000, 0.000)
Sn (0.500, 0.500, 0.500)

Peak list (10 most intense, 5 to 70 degrees two-theta, by angle)
| Position (°2θ) | d (Å) | Rel. int. | index |
| --- | --- | --- | --- |
| 18.48 | 4.802 | 18 | 0 0 1 |
| 23.69 | 3.756 | 88 | 1 0 1 |
| 27.99 | 3.187 | 86 | 1 1 1 |
| 29.64 | 3.014 | 100 | 2 0 0 |
| 37.46 | 2.401 | 27 | 0 0 2 |
| 38.29 | 2.350 | 51 | 2 1 1 |
| 42.42 | 2.131 | 38 | 2 2 0 |
| 48.48 | 1.878 | 51 | 2 0 2 |
| 51.59 | 1.772 | 32 | 3 1 1 |
| 57.86 | 1.594 | 30 | 2 2 2 |

[3]
Starting from DFT lattice parameters and positions (PBE), the XRD peak list of K3Np2Br9 was computed for CuKα.
Intensities are scaled so that the largest is 100.

Structural model:
Unit cell a=13.9126 b=13.9126 c=19.3079 alpha=90.00 beta=90.00 gamma=120.00
Space group R-3c (No. 167, hexagonal axes)
Inequivalent atoms, fractional coordinates:
K (0.0000, 0.3008, 0.2500)
Np (0.0000, 0.0000, 0.1460)
Br (0.0000, 0.1556, 0.7500)
Br (0.0311, 0.1969, 0.4158)

Peak list (10 most intense, 5 to 70 degrees two-theta, by angle)
| Position (°2θ) | d (Å) | Rel. int. | index |
| --- | --- | --- | --- |
| 11.75 | 7.534 | 17 | 0 1 2 |
| 12.73 | 6.956 | 100 | 1 1 0 |
| 19.81 | 4.481 | 19 | 1 0 4 |
| 23.62 | 3.767 | 23 | 0 2 4 |
| 29.18 | 3.060 | 57 | 2 2 3 |
| 32.59 | 2.748 | 24 | 1 3 4 |
| 34.10 | 2.629 | 28 | 4 1 0 |
| 35.75 | 2.511 | 16 | 0 3 6 |
| 38.09 | 2.362 | 33 | 2 2 6 |
| 45.15 | 2.008 | 21 | 6 0 0 |

What did the third record say?
Starting from DFT lattice parameters and positions (PBE), the XRD peak list of K3Np2Br9 was computed for CuKα.
Intensities are scaled so that the largest is 100.

Structural model:
Unit cell a=13.9126 b=13.9126 c=19.3079 alpha=90.00 beta=90.00 gamma=120.00
Space group R-3c (No. 167, hexagonal axes)
Inequivalent atoms, fractional coordinates:
K (0.0000, 0.3008, 0.2500)
Np (0.0000, 0.0000, 0.1460)
Br (0.0000, 0.1556, 0.7500)
Br (0.0311, 0.1969, 0.4158)

Peak list (10 most intense, 5 to 70 degrees two-theta, by angle)
| Position (°2θ) | d (Å) | Rel. int. | index |
| --- | --- | --- | --- |
| 11.75 | 7.534 | 17 | 0 1 2 |
| 12.73 | 6.956 | 100 | 1 1 0 |
| 19.81 | 4.481 | 19 | 1 0 4 |
| 23.62 | 3.767 | 23 | 0 2 4 |
| 29.18 | 3.060 | 57 | 2 2 3 |
| 32.59 | 2.748 | 24 | 1 3 4 |
| 34.10 | 2.629 | 28 | 4 1 0 |
| 35.75 | 2.511 | 16 | 0 3 6 |
| 38.09 | 2.362 | 33 | 2 2 6 |
| 45.15 | 2.008 | 21 | 6 0 0 |